1.
Structure and theoretical XRD peak list of Rb5TaS4F2 (a PBE-relaxed structure; λ = 1.5418 Å (Cu Kα)).

Atomic structure:
```
data_Rb5TaS4F2
_chemical_formula_sum 'Rb10 Ta2 S8 F4'
_symmetry_space_group_name_H-M 'A m m 2'
_symmetry_Int_Tables_number 38
_cell_length_a 8.6298
_cell_length_b 12.5091
_cell_length_c 7.4563
_cell_angle_alpha 90.00
_cell_angle_beta 90.00
_cell_angle_gamma 90.00
loop_
_symmetry_equiv_pos_as_xyz
'x,y,z'
'-x,-y,z'
'-x,y,z'
'x,-y,z'
'x,y+1/2,z+1/2'
'-x,-y+1/2,z+1/2'
'-x,y+1/2,z+1/2'
'x,-y+1/2,z+1/2'
loop_
_atom_site_label
_atom_site_fract_x
_atom_site_fract_y
_atom_site_fract_z
_atom_site_occupancy
Rb1 0.0000 0.0000 0.0000 1
Rb2 0.2281 0.2031 0.5944 1
Ta1 0.5000 0.0000 0.1095 1
S1 0.2828 0.0000 0.2872 1
S2 0.5000 0.1453 0.9225 1
F1 0.0000 0.2010 0.8599 1
```

Main lines, by intensity (2θ = 15–90°):
2θ/deg  d/Å  Rel. int.  index
24.5  3.639  100  0 3 1
24.9  3.579  97  2 1 1
34.9  2.572  96  2 2 2
25.1  3.552  63  2 2 0
43.5  2.079  50  2 5 1
17.2  5.143  38  1 1 1
23.9  3.728  35  0 0 2
49.1  1.856  24  4 3 1
28.5  3.127  22  0 4 0
41.9  2.157  22  4 0 0



2.
Structure and theoretical XRD peak list of Bi2H3 (a PBE-relaxed structure; λ = 1.5418 Å (Cu Kα)).

Atomic structure:
```
data_Bi2H3
_chemical_formula_sum 'Bi16 H24'
_symmetry_space_group_name_H-M 'F d d 2'
_symmetry_Int_Tables_number 43
_symmetry_space_group_name_Hall 'F 2 -2d'
_cell_length_a 11.3567
_cell_length_b 21.3423
_cell_length_c 3.3284
_cell_angle_alpha 90.00
_cell_angle_beta 90.00
_cell_angle_gamma 90.00
loop_
_atom_site_label
_atom_site_fract_x
_atom_site_fract_y
_atom_site_fract_z
_atom_site_occupancy
Bi1 0.1006 0.1950 0.0000 1
H1 0.0000 0.0000 0.7613 1
H2 0.0426 0.3748 0.3245 1
```

Main lines, by intensity (2θ = 15–90°):
2θ/deg  d/Å  Rel. int.  index
22.9  3.888  100  2 4 0
30.7  2.914  32  1 3 1
36.2  2.483  29  3 1 1
28.3  3.159  27  1 1 1
35.1  2.557  25  1 5 1
53.3  1.719  23  5 5 1
33.6  2.668  19  0 8 0
31.5  2.839  17  4 0 0
63.9  1.456  16  2 6 2
40.9  2.205  12  1 7 1



3.
Structure and theoretical XRD peak list of SnSb3As (a PBE-relaxed structure; λ = 1.5418 Å (Cu Kα)).

Atomic structure:
```
data_SnSb3As
_chemical_formula_sum 'Sn4 Sb12 As4'
_symmetry_space_group_name_H-M 'C 1 c 1'
_symmetry_Int_Tables_number 9
_cell_length_a 12.1802
_cell_length_b 6.6301
_cell_length_c 8.0690
_cell_angle_alpha 90.00
_cell_angle_beta 100.77
_cell_angle_gamma 90.00
loop_
_symmetry_equiv_pos_as_xyz
'x,y,z'
'x,-y,z+1/2'
'x+1/2,y+1/2,z'
'x+1/2,-y+1/2,z+1/2'
loop_
_atom_site_label
_atom_site_fract_x
_atom_site_fract_y
_atom_site_fract_z
_atom_site_occupancy
Sn1 0.0000 0.0792 0.0000 1
Sb1 0.0337 0.3948 0.2557 1
Sb2 0.2230 0.3407 0.7400 1
Sb3 0.3624 0.3210 0.1722 1
As1 0.1790 0.1388 0.4439 1
```

Main lines, by intensity (2θ = 15–90°):
2θ/deg  d/Å  Rel. int.  index
26.7  3.339  100  3 1 -1
28.4  3.142  68  1 1 2
31.9  2.806  49  2 2 -1
43.8  2.065  39  4 2 1
26.1  3.420  30  1 1 -2
15.3  5.799  27  1 1 0
30.1  2.970  27  3 1 1
42.6  2.124  24  5 1 -2
44.2  2.048  23  2 2 -3
36.1  2.491  23  1 1 -3



4.
Structure and theoretical XRD peak list of Nd6TlTe3As2 (a PBE-relaxed structure; λ = 1.5418 Å (Cu Kα)).

Atomic structure:
```
data_Nd6TlTe3As2
_chemical_formula_sum 'Nd12 Tl2 Te6 As4'
_symmetry_space_group_name_H-M 'C 1 2/m 1'
_symmetry_Int_Tables_number 12
_cell_length_a 19.4127
_cell_length_b 4.3720
_cell_length_c 9.0011
_cell_angle_alpha 90.00
_cell_angle_beta 104.09
_cell_angle_gamma 90.00
loop_
_symmetry_equiv_pos_as_xyz
'x,y,z'
'-x,-y,-z'
'-x,y,-z'
'x,-y,z'
'x+1/2,y+1/2,z'
'-x+1/2,-y+1/2,-z'
'-x+1/2,y+1/2,-z'
'x+1/2,-y+1/2,z'
loop_
_atom_site_label
_atom_site_fract_x
_atom_site_fract_y
_atom_site_fract_z
_atom_site_occupancy
Nd1 0.0072 0.0000 0.2527 1
Nd2 0.1670 0.5000 0.1032 1
Nd3 0.1734 0.5000 0.5676 1
Tl1 0.0000 0.5000 0.0000 1
Te1 0.0000 0.5000 0.5000 1
Te2 0.1653 0.0000 0.8314 1
As1 0.1683 0.0000 0.3357 1
```

Main lines, by intensity (2θ = 15–90°):
2θ/deg  d/Å  Rel. int.  index
28.5  3.137  100  1 1 -2
40.9  2.209  25  5 1 2
40.5  2.227  25  7 1 -2
50.9  1.794  13  6 2 0
41.3  2.186  13  0 2 0
40.1  2.250  12  2 0 -4
58.9  1.568  12  2 2 -4
66.9  1.398  11  4 2 4
66.4  1.408  10  8 2 -4
50.2  1.818  7  4 0 4



5.
Structure and theoretical XRD peak list of Na16Hg12Pd (a PBE-relaxed structure; λ = 1.5418 Å (Cu Kα)).

Atomic structure:
```
data_Na16Hg12Pd
_chemical_formula_sum 'Na32 Hg24 Pd2'
_symmetry_space_group_name_H-M 'C 1 m 1'
_symmetry_Int_Tables_number 8
_cell_length_a 11.6043
_cell_length_b 15.9908
_cell_length_c 10.0357
_cell_angle_alpha 90.00
_cell_angle_beta 123.82
_cell_angle_gamma 90.00
loop_
_symmetry_equiv_pos_as_xyz
'x,y,z'
'x,-y,z'
'x+1/2,y+1/2,z'
'x+1/2,-y+1/2,z'
loop_
_atom_site_label
_atom_site_fract_x
_atom_site_fract_y
_atom_site_fract_z
_atom_site_occupancy
Na1 0.0000 0.0000 0.0000 1
Na2 0.0102 0.3061 0.2828 1
Na3 0.0377 0.3860 0.0068 1
Na4 0.1877 0.2075 0.6590 1
Na5 0.2821 0.0000 0.6810 1
Na6 0.3097 0.3276 0.9793 1
Na7 0.3368 0.3448 0.3937 1
Na8 0.3848 0.0000 0.2918 1
Na9 0.4219 0.1459 0.5656 1
Na10 0.4718 0.5000 0.6376 1
Hg1 0.0896 0.0987 0.3447 1
Hg2 0.1237 0.5000 0.8091 1
Hg3 0.1837 0.1936 0.1666 1
Hg4 0.2070 0.4029 0.6013 1
Hg5 0.2481 0.0938 0.9511 1
Hg6 0.3037 0.5000 0.1785 1
Hg7 0.4752 0.3017 0.7881 1
Pd1 0.1671 0.5000 0.3387 1
```

Main lines, by intensity (2θ = 15–90°):
2θ/deg  d/Å  Rel. int.  index
18.4  4.824  100  2 0 0
18.9  4.698  79  2 0 -2
19.0  4.665  66  1 3 0
32.8  2.729  63  4 2 -2
39.7  2.270  56  1 5 2
37.0  2.432  56  3 5 -2
19.1  4.638  53  1 3 -1
18.7  4.740  48  1 1 -2
35.5  2.527  47  3 1 1
32.4  2.761  44  4 0 -1



6.
Structure and theoretical XRD peak list of TcB2MoAu (a PBE-relaxed structure; λ = 1.5418 Å (Cu Kα)).

Atomic structure:
```
data_TcB2MoAu
_chemical_formula_sum 'Tc1 B2 Mo1 Au1'
_symmetry_space_group_name_H-M 'P 4/m m m'
_symmetry_Int_Tables_number 123
_symmetry_space_group_name_Hall '-P 4 2'
_cell_length_a 3.9069
_cell_length_b 3.9069
_cell_length_c 5.4920
_cell_angle_alpha 90.00
_cell_angle_beta 90.00
_cell_angle_gamma 90.00
loop_
_atom_site_label
_atom_site_fract_x
_atom_site_fract_y
_atom_site_fract_z
_atom_site_occupancy
Tc1 0.0000 0.0000 0.0000 1
B1 0.0000 0.5000 0.5000 1
Mo1 0.5000 0.5000 0.0000 1
Au1 0.0000 0.0000 0.5000 1
```

Main lines, by intensity (2θ = 15–90°):
2θ/deg  d/Å  Rel. int.  index
32.4  2.763  100  1 1 0
28.0  3.184  76  1 0 1
46.6  1.948  73  1 1 2
22.8  3.907  66  1 0 0
32.6  2.746  58  0 0 2
57.9  1.592  44  2 0 2
46.5  1.953  43  2 0 0
40.1  2.247  31  1 0 2
86.4  1.127  26  3 1 2
55.2  1.665  24  2 1 1



7.
Structure and theoretical XRD peak list of CuHgC2 (a PBE-relaxed structure; λ = 1.5418 Å (Cu Kα)).

Atomic structure:
```
data_CuHgC2
_chemical_formula_sum 'Cu4 Hg4 C8'
_symmetry_space_group_name_H-M 'I -4 2 d'
_symmetry_Int_Tables_number 122
_symmetry_space_group_name_Hall 'I -4 2bw'
_cell_length_a 4.9423
_cell_length_b 4.9423
_cell_length_c 9.2715
_cell_angle_alpha 90.00
_cell_angle_beta 90.00
_cell_angle_gamma 90.00
loop_
_atom_site_label
_atom_site_fract_x
_atom_site_fract_y
_atom_site_fract_z
_atom_site_occupancy
Cu1 0.0000 0.0000 0.0000 1
Hg1 0.0000 0.0000 0.5000 1
C1 0.1830 0.2500 0.1250 1
```

Main lines, by intensity (2θ = 15–90°):
2θ/deg  d/Å  Rel. int.  index
32.1  2.791  100  1 1 2
36.4  2.471  31  2 0 0
20.4  4.361  30  1 0 1
62.7  1.481  29  3 1 2
54.3  1.691  25  2 0 4
52.4  1.747  14  2 2 0
38.9  2.318  13  0 0 4
42.0  2.150  13  2 1 1
66.1  1.413  12  1 1 6
89.1  1.099  12  3 1 6



8.
Structure and theoretical XRD peak list of PmEr2TmSc5 (a PBE-relaxed structure; λ = 1.5418 Å (Cu Kα)).

Atomic structure:
```
data_PmEr2TmSc5
_chemical_formula_sum 'Pm4 Er8 Tm4 Sc20'
_symmetry_space_group_name_H-M 'C m c 21'
_symmetry_Int_Tables_number 36
_cell_length_a 5.3226
_cell_length_b 18.6033
_cell_length_c 10.1772
_cell_angle_alpha 90.00
_cell_angle_beta 90.00
_cell_angle_gamma 90.00
loop_
_symmetry_equiv_pos_as_xyz
'x,y,z'
'-x,-y,z+1/2'
'-x,y,z'
'x,-y,z+1/2'
'x+1/2,y+1/2,z'
'-x+1/2,-y+1/2,z+1/2'
'-x+1/2,y+1/2,z'
'x+1/2,-y+1/2,z+1/2'
loop_
_atom_site_label
_atom_site_fract_x
_atom_site_fract_y
_atom_site_fract_z
_atom_site_occupancy
Pm1 0.0000 0.0806 0.0000 1
Er1 0.0000 0.3883 0.2716 1
Er2 0.0000 0.3879 0.8672 1
Tm1 0.0000 0.2943 0.5575 1
Sc1 0.0000 0.0211 0.2776 1
Sc2 0.0000 0.1071 0.5654 1
Sc3 0.0000 0.2009 0.2593 1
Sc4 0.0000 0.2163 0.8533 1
Sc5 0.0000 0.4801 0.5730 1
```

Main lines, by intensity (2θ = 15–90°):
2θ/deg  d/Å  Rel. int.  index
34.3  2.616  100  1 5 2
31.6  2.828  44  1 1 3
33.7  2.661  42  2 0 0
23.7  3.754  37  1 3 1
60.6  1.527  24  3 5 2
30.1  2.966  20  0 6 1
28.0  3.187  19  0 2 3
24.7  3.608  17  1 1 2
22.0  4.039  15  1 3 0
63.9  1.456  13  1 11 3